Entry 1:
For NdTmSc2S4, DFT lattice parameters and positions (PBE) gives the simulated powder diffractogram in this record (copper Kα).
No peak broadening, texture or thermal motion is included.

Atomic structure:
a b c (Å): 6.658 3.786 6.659
angles (deg): 90.00 108.93 90.00
Space group P2/m (No. 10)
Inequivalent atoms, fractional coordinates:
Nd (0.000, 0.000, 0.000)
Tm (0.500, 0.500, 0.000)
Sc (0.000, 0.500, 0.500)
Sc (0.500, 0.000, 0.500)
S (0.254, 0.000, 0.734)
S (0.268, 0.500, 0.274)

Main lines, most intense first (15 to 90 degrees two-theta):
- 2θ = 33.09°, I = 100
- 2θ = 47.49°, I = 46
- 2θ = 28.34°, I = 25
- 2θ = 28.77°, I = 24
- 2θ = 27.49°, I = 20
- 2θ = 79.08°, I = 19

---

Entry 2:
For Sm2Ge3Rh, DFT lattice parameters and positions (PBE) gives the simulated powder diffractogram in this record (copper Kα).
No peak broadening, texture or thermal motion is included.

Atomic structure:
a b c (Å): 10.754 4.374 7.084
angles (deg): 90.00 130.89 90.00
Space group Cm (No. 8)
Inequivalent atoms, fractional coordinates:
Sm (0.000, 0.000, 0.000)
Sm (0.110, 0.000, 0.593)
Ge (0.176, 0.500, 0.945)
Ge (0.243, 0.500, 0.417)
Ge (0.373, 0.000, 0.185)
Rh (0.382, 0.000, 0.556)

Main lines, most intense first (15 to 90 degrees two-theta):
- 2θ = 34.39°, I = 100
- 2θ = 32.64°, I = 60
- 2θ = 39.10°, I = 44
- 2θ = 41.28°, I = 37
- 2θ = 33.46°, I = 22
- 2θ = 39.81°, I = 20

---

Entry 3:
For HfNb2AlAu, DFT lattice parameters and positions (PBE) gives the simulated powder diffractogram in this record (copper Kα).
No peak broadening, texture or thermal motion is included.

Atomic structure:
a b c (Å): 4.975 4.975 5.034
angles (deg): 90.00 90.00 90.00
Space group P4/mmm (No. 123)
Inequivalent atoms, fractional coordinates:
Hf (0.000, 0.000, 0.000)
Nb (0.000, 0.500, 0.500)
Al (0.500, 0.500, 0.000)
Au (0.000, 0.000, 0.500)

Main lines, most intense first (15 to 90 degrees two-theta):
- 2θ = 17.83°, I = 100
- 2θ = 36.11°, I = 52
- 2θ = 51.66°, I = 38
- 2θ = 40.52°, I = 34
- 2θ = 35.67°, I = 27
- 2θ = 40.15°, I = 27

---

Which formula does entry 3 have?
HfNb2AlAu